Record 1
The following is a computed X-ray diffraction stick pattern of Sc3NF10. It was derived from a DFT-relaxed cell (GGA-PBE, the Materials Project), using Cu Kα X-rays.

Top 6 peaks for 2θ = 10–80°, by angle:
2theta	intensity
13.11	41.0
17.24	43.6
21.91	100.0
26.05	70.6
44.67	37.3
46.37	39.9

Structural model:
```
Sc3NF10
1.0
6.754 0.000 0.000
0.000 7.935 0.000
0.000 0.000 8.115
Sc N F
6 2 20
Direct
0.000 0.006 0.250
0.000 0.994 0.750
0.500 0.252 0.750
0.500 0.264 0.250
0.500 0.736 0.750
0.500 0.748 0.250
0.007 0.500 0.000
0.993 0.500 0.500
0.017 0.000 0.000
0.204 0.196 0.263
0.204 0.804 0.737
0.205 0.183 0.741
0.205 0.817 0.259
0.341 0.495 0.755
0.341 0.505 0.245
0.495 0.269 0.000
0.495 0.731 0.000
0.500 0.006 0.250
0.500 0.994 0.750
0.505 0.269 0.500
0.505 0.731 0.500
0.659 0.495 0.745
0.659 0.505 0.255
0.795 0.183 0.759
0.795 0.817 0.241
0.796 0.196 0.237
0.796 0.804 0.763
0.983 0.000 0.500
```

Record 2
The following is a computed X-ray diffraction stick pattern of SnN4F8. It was derived from a DFT-relaxed cell (GGA-PBE, the Materials Project), using Cu Kα X-rays.

Top 6 peaks for 2θ = 10–80°, by angle:
2theta	intensity
11.92	96.2
15.85	100.0
17.70	82.1
22.27	89.0
23.25	79.4
25.33	78.9

Structural model:
```
SnN4F8
1.0
6.034 0.000 0.000
0.000 14.844 0.000
0.000 0.000 10.645
Sn N F
4 16 32
Direct
0.250 0.250 0.126
0.250 0.250 0.626
0.750 0.750 0.374
0.750 0.750 0.874
0.207 0.588 0.091
0.207 0.912 0.591
0.222 0.571 0.685
0.222 0.929 0.185
0.278 0.571 0.185
0.278 0.929 0.685
0.293 0.588 0.591
0.293 0.912 0.091
0.707 0.088 0.909
0.707 0.412 0.409
0.722 0.071 0.315
0.722 0.429 0.815
0.778 0.071 0.815
0.778 0.429 0.315
0.793 0.088 0.409
0.793 0.412 0.909
0.012 0.228 0.997
0.012 0.272 0.497
0.016 0.227 0.255
0.016 0.273 0.755
0.180 0.118 0.624
0.180 0.382 0.124
0.246 0.514 0.849
0.246 0.986 0.349
0.254 0.514 0.349
0.254 0.986 0.849
0.320 0.118 0.124
0.320 0.382 0.624
0.484 0.227 0.755
0.484 0.273 0.255
0.488 0.228 0.497
0.488 0.272 0.997
0.512 0.728 0.003
0.512 0.772 0.503
0.516 0.727 0.745
0.516 0.773 0.245
0.680 0.618 0.376
0.680 0.882 0.876
0.746 0.014 0.151
0.746 0.486 0.651
0.754 0.014 0.651
0.754 0.486 0.151
0.820 0.618 0.876
0.820 0.882 0.376
0.984 0.727 0.245
0.984 0.773 0.745
0.988 0.728 0.503
0.988 0.772 0.003
```

Record 3
The following is a computed X-ray diffraction stick pattern of Sr6Sn2NF. It was derived from a DFT-relaxed cell (GGA-PBE, the Materials Project), using Cu Kα X-rays.

Top 6 peaks for 2θ = 10–80°, by angle:
2theta	intensity
29.45	100.0
34.13	60.6
49.04	42.4
58.25	43.5
61.10	14.4
79.53	17.9

Structural model:
```
Sr6Sn2NF
1.0
0.000 5.254 5.254
5.254 0.000 5.254
5.254 5.254 0.000
Sr Sn N F
6 2 1 1
Direct
0.242 0.242 0.758
0.242 0.758 0.242
0.242 0.758 0.758
0.758 0.242 0.242
0.758 0.242 0.758
0.758 0.758 0.242
0.250 0.250 0.250
0.750 0.750 0.750
0.000 0.000 0.000
0.500 0.500 0.500
```

Record 4
The following is a computed X-ray diffraction stick pattern of TaNF6. It was derived from a DFT-relaxed cell (GGA-PBE, the Materials Project), using Cu Kα X-rays.

Top 6 peaks for 2θ = 10–80°, by angle:
2theta	intensity
18.41	61.4
18.69	100.0
21.38	39.3
23.99	21.3
24.85	20.4
25.05	18.5

Structural model:
```
TaNF6
1.0
4.899 0.000 0.000
1.175 5.043 0.000
0.874 1.731 4.819
Ta N F
1 1 6
Direct
0.000 0.000 0.000
0.500 0.000 0.000
0.013 0.218 0.222
0.284 0.159 0.693
0.316 0.687 0.150
0.684 0.313 0.850
0.716 0.841 0.307
0.987 0.782 0.778
```

Record 5
The following is a computed X-ray diffraction stick pattern of TaN3F6. It was derived from a DFT-relaxed cell (GGA-PBE, the Materials Project), using Cu Kα X-rays.

Top 6 peaks for 2θ = 10–80°, by angle:
2theta	intensity
11.01	57.2
12.76	100.0
13.58	40.4
15.06	21.4
15.91	17.8
20.19	23.5

Structural model:
```
TaN3F6
1.0
6.974 0.000 0.000
2.836 7.694 0.000
0.683 3.818 8.035
Ta N F
1 3 6
Direct
0.000 0.000 0.000
0.000 0.000 0.500
0.000 0.500 0.500
0.500 0.000 0.000
0.007 0.160 0.101
0.125 0.782 0.200
0.279 0.997 0.917
0.721 0.003 0.083
0.875 0.218 0.800
0.993 0.840 0.899
```

Record 6
The following is a computed X-ray diffraction stick pattern of TaNF6. It was derived from a DFT-relaxed cell (GGA-PBE, the Materials Project), using Cu Kα X-rays.

Top 6 peaks for 2θ = 10–80°, by angle:
2theta	intensity
18.36	100.0
24.38	44.9
27.67	35.1
30.69	28.7
43.91	19.9
44.99	34.4

Structural model:
```
TaNF6
1.0
3.651 2.108 2.498
-3.651 2.108 2.498
0.000 -4.215 2.498
Ta N F
1 1 6
Direct
0.000 0.000 0.000
0.500 0.500 0.500
0.084 0.672 0.786
0.214 0.916 0.328
0.328 0.214 0.916
0.672 0.786 0.084
0.786 0.084 0.672
0.916 0.328 0.214
```

Record 7
The following is a computed X-ray diffraction stick pattern of TaN3F12. It was derived from a DFT-relaxed cell (GGA-PBE, the Materials Project), using Cu Kα X-rays.

Top 6 peaks for 2θ = 10–80°, by angle:
2theta	intensity
11.91	91.1
12.98	100.0
20.43	42.0
21.35	44.6
26.13	44.7
26.39	47.3

Structural model:
```
TaN3F12
1.0
3.937 -7.428 0.000
3.937 7.428 0.000
-0.987 0.000 4.348
Ta N F
1 3 12
Direct
0.000 0.000 0.000
0.000 0.000 0.500
0.000 0.500 0.000
0.500 0.000 0.000
0.083 0.263 0.093
0.138 0.566 0.755
0.263 0.083 0.093
0.336 0.433 0.690
0.433 0.336 0.690
0.434 0.862 0.245
0.566 0.138 0.755
0.567 0.664 0.310
0.664 0.567 0.310
0.737 0.917 0.907
0.862 0.434 0.245
0.917 0.737 0.907
```

Record 8
The following is a computed X-ray diffraction stick pattern of ThNF. It was derived from a DFT-relaxed cell (GGA-PBE, the Materials Project), using Cu Kα X-rays.

Top 6 peaks for 2θ = 10–80°, by angle:
2theta	intensity
26.08	29.3
27.07	100.0
31.07	45.9
43.89	26.1
45.15	33.8
52.88	26.3

Structural model:
```
ThNF
1.0
2.008 1.159 6.833
-2.008 1.159 6.833
0.000 -2.319 6.833
Th N F
2 2 2
Direct
0.238 0.238 0.238
0.762 0.762 0.762
0.123 0.123 0.123
0.877 0.877 0.877
0.369 0.369 0.369
0.631 0.631 0.631
```

Record 9
The following is a computed X-ray diffraction stick pattern of TiNF. It was derived from a DFT-relaxed cell (GGA-PBE, the Materials Project), using Cu Kα X-rays.

Top 6 peaks for 2θ = 10–80°, by angle:
2theta	intensity
24.48	100.0
35.39	23.3
35.89	28.1
46.53	35.1
53.26	19.3
60.13	20.2

Structural model:
```
TiNF
1.0
-1.952 1.952 5.004
1.952 -1.952 5.004
1.952 1.952 -5.004
Ti N F
2 2 2
Direct
0.000 0.000 0.000
0.750 0.250 0.500
0.569 0.069 0.500
0.819 0.819 0.000
0.013 0.513 0.500
0.263 0.263 0.000
```

Record 10
The following is a computed X-ray diffraction stick pattern of TiNF. It was derived from a DFT-relaxed cell (GGA-PBE, the Materials Project), using Cu Kα X-rays.

Top 6 peaks for 2θ = 10–80°, by angle:
2theta	intensity
11.24	100.0
25.15	23.0
37.21	15.2
45.53	11.3
60.42	8.5
66.54	8.1

Structural model:
```
TiNF
1.0
3.062 0.000 0.000
0.000 3.964 0.000
0.000 0.000 7.871
Ti N F
2 2 2
Direct
0.250 0.250 0.104
0.750 0.750 0.896
0.250 0.750 0.061
0.750 0.250 0.939
0.250 0.750 0.725
0.750 0.250 0.275
```